For NdMgCuW2O8, DFT lattice parameters and positions (PBE+U) gives the theoretical powder XRD pattern in this record (Cu Kα).

Cell and atoms:
Unit cell a=5.420 b=5.973 c=6.176 alpha=107.16 beta=90.64 gamma=116.08
Space group P1 (No. 1)
One atom of each set of equivalent atoms:
Nd 0.000 0.000 0.000 x1
Mg 0.447 0.913 0.296 x1
Cu 0.658 0.258 0.856 x1
W 0.227 0.491 0.668 x1
W 0.728 0.514 0.384 x1
O 0.162 0.689 0.469 x1
O 0.203 0.724 0.967 x1
O 0.271 0.265 0.801 x1
O 0.317 0.265 0.360 x1
O 0.643 0.712 0.683 x1
O 0.716 0.750 0.246 x1
O 0.717 0.203 0.136 x1
O 0.789 0.296 0.576 x1

The 8 most intense peaks (2θ = 10–90°), most intense first:
- 25.9°, I 100
- 26.9°, I 82
- 30.9°, I 70
- 30.4°, I 69
- 19.0°, I 69
- 33.1°, I 60
- 33.3°, I 57
- 33.6°, I 53



For LaCrTeO6, DFT lattice parameters and positions (PBE+U) gives the theoretical powder XRD pattern in this record (Cu Kα).

Cell and atoms:
Unit cell a=5.495 b=5.506 c=5.513 alpha=119.85 beta=90.41 gamma=119.47
Space group P1 (No. 1)
One atom of each set of equivalent atoms:
La 0.000 0.000 0.000 x1
Cr 0.255 0.507 0.747 x1
Te 0.758 0.507 0.248 x1
O 0.071 0.567 0.484 x1
O 0.436 0.434 0.008 x1
O 0.548 0.017 0.040 x1
O 0.567 0.535 0.547 x1
O 0.959 0.504 0.959 x1
O 0.977 0.997 0.443 x1

The 8 most intense peaks (2θ = 10–90°), most intense first:
- 19.7°, I 100
- 32.5°, I 95
- 32.6°, I 24
- 32.3°, I 22
- 58.0°, I 20
- 38.1°, I 19
- 46.3°, I 17
- 46.5°, I 16



For Mn3O2F4, DFT lattice parameters and positions (PBE+U) gives the theoretical powder XRD pattern in this record (Cu Kα).

Cell and atoms:
Unit cell a=5.690 b=5.797 c=7.427 alpha=73.49 beta=73.44 gamma=72.56
Space group P-1 (No. 2)
One atom of each set of equivalent atoms:
Mn 0.000 0.000 0.000 x1
Mn 0.000 0.000 0.500 x1
Mn 0.302 0.320 0.163 x2
Mn 0.307 0.368 0.681 x2
O 0.020 0.671 0.662 x2
O 0.204 0.232 0.970 x2
F 0.088 0.104 0.707 x2
F 0.331 0.704 0.989 x2
F 0.379 0.938 0.342 x2
F 0.416 0.424 0.365 x2

The 8 most intense peaks (2θ = 10–90°), most intense first:
- 26.2°, I 100
- 26.6°, I 92
- 51.7°, I 31
- 33.6°, I 30
- 33.5°, I 29
- 51.5°, I 28
- 33.8°, I 24
- 34.0°, I 23



For K2MgCo2O4, DFT lattice parameters and positions (PBE+U) gives the theoretical powder XRD pattern in this record (Cu Kα).

Cell and atoms:
Unit cell a=3.890 b=3.890 c=7.886 alpha=90.00 beta=90.00 gamma=90.00
Space group P-4m2 (No. 115)
One atom of each set of equivalent atoms:
K 0.000 0.500 0.245 x2
Mg 0.000 0.000 0.000 x1
Co 0.000 0.500 0.603 x2
O 0.000 0.000 0.500 x1
O 0.000 0.500 0.870 x2
O 0.500 0.500 0.500 x1

The 8 most intense peaks (2θ = 10–90°), most intense first:
- 41.5°, I 100
- 11.2°, I 91
- 32.5°, I 69
- 46.7°, I 62
- 64.2°, I 47
- 32.3°, I 39
- 40.0°, I 27
- 68.2°, I 17



For LiMn2CuRu2O8, DFT lattice parameters and positions (PBE+U) gives the theoretical powder XRD pattern in this record (Cu Kα).

Cell and atoms:
Unit cell a=5.695 b=6.022 c=9.002 alpha=90.00 beta=90.00 gamma=90.00
Space group Imm2 (No. 44)
One atom of each set of equivalent atoms:
Li 0.000 0.000 0.000 x2
Mn 0.000 0.248 0.394 x4
Cu 0.000 0.500 0.762 x2
Ru 0.224 0.500 0.140 x4
O 0.000 0.217 0.641 x4
O 0.000 0.246 0.143 x4
O 0.223 0.500 0.368 x4
O 0.236 0.000 0.410 x4

The 8 most intense peaks (2θ = 10–90°), most intense first:
- 17.7°, I 100
- 36.3°, I 68
- 60.8°, I 49
- 33.4°, I 38
- 43.8°, I 38
- 35.2°, I 28
- 40.1°, I 26
- 33.8°, I 24



For Sr2MgV2Si4O14, DFT lattice parameters and positions (PBE+U) gives the theoretical powder XRD pattern in this record (Cu Kα).

Cell and atoms:
Unit cell a=5.547 b=7.288 c=7.866 alpha=93.71 beta=109.94 gamma=90.03
Space group P1 (No. 1)
One atom of each set of equivalent atoms:
Sr 0.000 0.000 0.000 x1
Sr 0.373 0.547 0.768 x1
Mg 0.062 0.274 0.384 x1
V 0.090 0.535 0.154 x1
V 0.309 0.013 0.613 x1
Si 0.565 0.242 0.159 x1
Si 0.587 0.797 0.167 x1
Si 0.774 0.308 0.603 x1
Si 0.793 0.754 0.600 x1
O 0.068 0.237 0.649 x1
O 0.084 0.840 0.695 x1
O 0.181 0.029 0.365 x1
O 0.203 0.518 0.402 x1
O 0.288 0.328 0.063 x1
O 0.299 0.711 0.068 x1
O 0.548 0.015 0.109 x1
O 0.586 0.225 0.697 x1
O 0.603 0.839 0.700 x1
O 0.661 0.275 0.381 x1
O 0.687 0.777 0.384 x1
O 0.788 0.708 0.076 x1
O 0.809 0.534 0.655 x1
O 0.818 0.309 0.117 x1

The 8 most intense peaks (2θ = 10–90°), most intense first:
- 29.7°, I 100
- 24.1°, I 69
- 27.9°, I 64
- 32.3°, I 59
- 30.4°, I 47
- 40.9°, I 43
- 27.6°, I 39
- 50.2°, I 32



For Li3Mn2F9, DFT lattice parameters and positions (PBE+U) gives the theoretical powder XRD pattern in this record (Cu Kα).

Cell and atoms:
Unit cell a=5.484 b=5.660 c=14.150 alpha=89.16 beta=86.12 gamma=61.39
Space group P1 (No. 1)
One atom of each set of equivalent atoms:
Li 0.000 0.000 0.000 x1
Li 0.006 0.697 0.300 x1
Li 0.101 0.831 0.508 x1
Li 0.231 0.705 0.707 x1
Li 0.780 0.123 0.795 x1
Li 0.994 0.132 0.204 x1
Mn 0.122 0.444 0.902 x1
Mn 0.345 0.437 0.098 x1
Mn 0.656 0.380 0.405 x1
Mn 0.872 0.400 0.600 x1
F 0.003 0.742 0.820 x1
F 0.019 0.087 0.676 x1
F 0.079 0.196 0.492 x1
F 0.083 0.606 0.608 x1
F 0.199 0.739 0.182 x1
F 0.244 0.614 0.398 x1
F 0.253 0.262 0.194 x1
F 0.340 0.190 0.002 x1
F 0.359 0.646 0.996 x1
F 0.396 0.245 0.808 x1
F 0.611 0.642 0.511 x1
F 0.617 0.573 0.701 x1
F 0.632 0.168 0.502 x1
F 0.746 0.570 0.315 x1
F 0.763 0.217 0.104 x1
F 0.811 0.086 0.317 x1
F 0.893 0.660 0.002 x1
F 0.926 0.225 0.893 x1

The 8 most intense peaks (2θ = 10–90°), most intense first:
- 19.9°, I 100
- 17.9°, I 66
- 25.6°, I 26
- 25.9°, I 25
- 12.5°, I 21
- 32.5°, I 14
- 37.9°, I 13
- 37.6°, I 13



For Ba3SrCa2W2O12, DFT lattice parameters and positions (PBE+U) gives the theoretical powder XRD pattern in this record (Cu Kα).

Cell and atoms:
Unit cell a=5.984 b=6.012 c=10.379 alpha=73.66 beta=73.25 gamma=60.16
Space group P1 (No. 1)
One atom of each set of equivalent atoms:
Ba 0.000 0.000 0.000 x1
Ba 0.250 0.250 0.251 x1
Ba 0.500 0.499 0.501 x1
Sr 0.750 0.750 0.751 x1
Ca 0.375 0.375 0.875 x1
Ca 0.875 0.875 0.376 x1
W 0.124 0.124 0.627 x1
W 0.626 0.625 0.124 x1
O 0.009 0.471 0.512 x1
O 0.064 0.993 0.493 x1
O 0.179 0.264 0.758 x1
O 0.241 0.779 0.741 x1
O 0.264 0.721 0.222 x1
O 0.489 0.024 0.533 x1
O 0.511 0.969 0.009 x1
O 0.567 0.496 0.989 x1
O 0.686 0.758 0.258 x1
O 0.739 0.280 0.240 x1
O 0.763 0.214 0.723 x1
O 0.987 0.528 0.029 x1

The 8 most intense peaks (2θ = 10–90°), most intense first:
- 29.7°, I 100
- 29.9°, I 52
- 52.9°, I 42
- 18.1°, I 41
- 42.7°, I 29
- 52.7°, I 21
- 61.7°, I 19
- 70.3°, I 18



For LiCrGe2O6, DFT lattice parameters and positions (PBE+U) gives the theoretical powder XRD pattern in this record (Cu Kα).

Cell and atoms:
Unit cell a=5.581 b=6.737 c=6.738 alpha=80.73 beta=74.06 gamma=74.08
Space group P-1 (No. 2)
One atom of each set of equivalent atoms:
Li 0.249 0.277 0.224 x2
Cr 0.250 0.913 0.587 x2
Ge 0.248 0.385 0.696 x2
Ge 0.252 0.804 0.115 x2
O 0.078 0.610 0.167 x2
O 0.142 0.986 0.306 x2
O 0.202 0.638 0.582 x2
O 0.297 0.919 0.862 x2
O 0.358 0.195 0.514 x2
O 0.423 0.333 0.891 x2

The 8 most intense peaks (2θ = 10–90°), most intense first:
- 28.8°, I 100
- 29.8°, I 50
- 34.5°, I 41
- 26.7°, I 29
- 36.1°, I 26
- 20.4°, I 26
- 54.7°, I 22
- 18.5°, I 21



For MgMn2Si4O12, DFT lattice parameters and positions (PBE+U) gives the theoretical powder XRD pattern in this record (Cu Kα).

Cell and atoms:
Unit cell a=5.446 b=6.464 c=6.467 alpha=83.50 beta=76.47 gamma=76.43
Space group P1 (No. 1)
One atom of each set of equivalent atoms:
Mg 0.000 0.000 0.000 x1
Mn 0.000 0.375 0.626 x1
Mn 0.500 0.190 0.811 x1
Si 0.028 0.888 0.511 x1
Si 0.481 0.663 0.935 x1
Si 0.521 0.065 0.337 x1
Si 0.974 0.489 0.113 x1
O 0.037 0.657 0.632 x1
O 0.075 0.308 0.931 x1
O 0.179 0.652 0.069 x1
O 0.307 0.917 0.361 x1
O 0.406 0.912 0.847 x1
O 0.419 0.231 0.527 x1
O 0.582 0.473 0.770 x1
O 0.594 0.154 0.088 x1
O 0.697 0.642 0.081 x1
O 0.825 0.933 0.347 x1
O 0.925 0.070 0.692 x1
O 0.963 0.368 0.343 x1

The 8 most intense peaks (2θ = 10–90°), most intense first:
- 30.0°, I 100
- 31.1°, I 61
- 14.1°, I 55
- 34.7°, I 50
- 20.6°, I 31
- 24.6°, I 29
- 36.6°, I 25
- 57.6°, I 24



For MgCo3NiO8, DFT lattice parameters and positions (PBE+U) gives the theoretical powder XRD pattern in this record (Cu Kα).

Cell and atoms:
Unit cell a=5.724 b=5.759 c=5.764 alpha=118.57 beta=92.19 gamma=118.18
Space group P-1 (No. 2)
One atom of each set of equivalent atoms:
Mg 0.000 0.000 0.000 x1
Co 0.000 0.000 0.500 x1
Co 0.000 0.500 0.500 x1
Co 0.500 0.000 0.500 x1
Ni 0.000 0.500 0.000 x1
O 0.194 0.450 0.727 x2
O 0.214 0.500 0.256 x2
O 0.217 0.955 0.716 x2
O 0.236 0.999 0.282 x2

The 8 most intense peaks (2θ = 10–90°), most intense first:
- 18.7°, I 100
- 43.1°, I 28
- 43.7°, I 26
- 45.5°, I 24
- 18.8°, I 20
- 38.0°, I 13
- 36.0°, I 11
- 37.1°, I 9